Starting from a DFT-relaxed cell (PBE+U, Alexandria), the PXRD pattern of Na2Dy2CrO6 was computed for Cu Kα X-rays.
Neutral-atom scattering factors, no anomalous dispersion.

Structural model:
```
data_Na2Dy2CrO6
_cell_length_a 5.718
_cell_length_b 9.760
_cell_length_c 5.869
_cell_angle_alpha 90.00
_cell_angle_beta 105.23
_cell_angle_gamma 90.00
_symmetry_space_group_name_H-M 'C 1 2/m 1'
_symmetry_Int_Tables_number 12
loop_
_symmetry_equiv_pos_as_xyz
'x,y,z'
'-x,-y,-z'
'-x,y,-z'
'x,-y,z'
'x+1/2,y+1/2,z'
'-x+1/2,-y+1/2,-z'
'-x+1/2,y+1/2,-z'
'x+1/2,-y+1/2,z'
loop_
_atom_site_label
_atom_site_fract_x
_atom_site_fract_y
_atom_site_fract_z
Na1 0.000 0.145 0.000
Dy1 0.000 0.336 0.500
Cr1 0.000 0.000 0.500
O1 0.194 0.150 0.688
O2 0.243 0.000 0.304
```

Principal peaks in the range 5 to 70 degrees two-theta, sorted by position:
2θ = 15.6°, intensity 100; 2θ = 31.6°, intensity 17; 2θ = 31.9°, intensity 25; 2θ = 32.1°, intensity 14; 2θ = 32.5°, intensity 14; 2θ = 33.7°, intensity 24; 2θ = 37.7°, intensity 42; 2θ = 39.1°, intensity 20; 2θ = 48.7°, intensity 13; 2θ = 54.9°, intensity 15